For HfTaAl, DFT lattice parameters and positions (PBE) gives the theoretical powder XRD pattern in this record (Cu Kα X-rays).

Principal peaks in the range 2θ = 10–80°, sorted by position:
(hkl)	d_spacing	Rel. int.
0 0 1	7.548	18
1 0 1	3.471	32
1 0 2	2.715	37
1 1 1	2.596	100
0 0 3	2.516	34
1 1 2	2.230	49
2 0 0	1.954	38
2 1 2	1.586	15
1 1 4	1.559	24
2 0 3	1.544	30
3 1 1	1.220	19
2 2 3	1.211	14

```
data_HfTaAl
_space_group_name_H-M_alt 'P 4/n m m'
_space_group_IT_number 129
_cell_length_a 3.9090
_cell_length_b 3.9090
_cell_length_c 7.5483
_cell_angle_alpha 90.00
_cell_angle_beta 90.00
_cell_angle_gamma 90.00
loop_
_space_group_symop_operation_xyz
'x,y,z'
'-x,-y,-z'
'-y+1/2,x,z'
'y+1/2,-x,-z'
'-x+1/2,-y+1/2,z'
'x+1/2,y+1/2,-z'
'y,-x+1/2,z'
'-y,x+1/2,-z'
'x+1/2,-y,-z'
'-x+1/2,y,z'
'-y,-x,-z'
'y,x,z'
'-x,y+1/2,-z'
'x,-y+1/2,z'
'y+1/2,x+1/2,-z'
'-y+1/2,-x+1/2,z'
loop_
_atom_site_label
_atom_site_fract_x
_atom_site_fract_y
_atom_site_fract_z
_atom_site_occupancy
Hf1 0.2500 0.2500 0.1458 1
Ta1 0.2500 0.7500 0.5000 1
Al1 0.2500 0.2500 0.7669 1
```

For Tb2HfAl, DFT lattice parameters and positions (PBE) gives the theoretical powder XRD pattern in this record (Cu Kα X-rays).

Principal peaks in the range 2θ = 10–80°, sorted by position:
(hkl)	d_spacing	Rel. int.
0 0 1	8.819	20
1 0 1	3.159	19
0 0 3	2.940	7
1 0 2	2.685	100
1 1 0	2.393	37
0 0 4	2.205	13
1 1 3	1.856	8
2 0 0	1.692	13
1 1 4	1.621	20
2 1 2	1.431	29
1 0 6	1.348	10
2 0 4	1.342	11

```
data_Tb2HfAl
_space_group_name_H-M_alt 'P 4/m m m'
_space_group_IT_number 123
_space_group_name_Hall '-P 4 2'
_cell_length_a 3.3840
_cell_length_b 3.3840
_cell_length_c 8.8189
_cell_angle_alpha 90.00
_cell_angle_beta 90.00
_cell_angle_gamma 90.00
loop_
_atom_site_label
_atom_site_fract_x
_atom_site_fract_y
_atom_site_fract_z
_atom_site_occupancy
Tb1 0.0000 0.0000 0.2337 1
Hf1 0.5000 0.5000 0.5000 1
Al1 0.5000 0.5000 0.0000 1
```